1.
The following is a computed X-ray diffraction stick pattern of PrBe2Pt2. It was derived from DFT lattice parameters and positions (GGA-PBE), using CuKα.

Main lines, most intense first (2θ = 15–90°):
two_theta	I (rel.)
35.0	100
28.9	46
32.8	33
44.3	32
60.0	28
55.3	27
75.5	11
23.5	11
85.9	8
70.0	8

```
5
Lattice="0.000 3.088 4.933 2.732 0.000 4.933 2.732 3.088 0.000" Properties=species:S:1:pos:R:3 pbc="T T T"
Pr 0.000 0.000 0.000
Be 1.366 1.544 2.466
Be 4.097 4.632 7.399
Pt 2.732 3.088 3.524
Pt 2.732 3.088 6.341
```



2.
The following is a computed X-ray diffraction stick pattern of TbCo22B6. It was derived from DFT lattice parameters and positions (GGA-PBE), using CuKα.

Main lines, most intense first (2θ = 15–90°):
two_theta	I (rel.)
44.6	100
41.9	34
48.8	25
76.6	22
78.5	15
52.0	14
28.0	12
51.2	10
29.3	9
38.1	7

```
29
Lattice="0.000 5.279 5.279 5.279 0.000 5.279 5.279 5.279 0.000" Properties=species:S:1:pos:R:3 pbc="T T T"
Tb 0.000 0.000 0.000
Co 1.842 1.842 0.000
Co 3.437 3.437 0.000
Co 1.842 0.000 1.842
Co 5.279 3.437 1.842
Co 3.437 0.000 3.437
Co 5.279 1.842 3.437
Co 6.530 4.027 4.027
Co 2.639 2.639 2.639
Co 0.000 1.842 1.842
Co 3.437 5.279 1.842
Co 3.437 1.842 5.279
Co 4.027 4.027 4.027
Co 6.530 6.530 4.027
Co 6.530 4.027 6.530
Co 4.027 6.530 4.027
Co 4.027 4.027 6.530
Co 6.530 6.530 6.530
Co 0.000 3.437 3.437
Co 1.842 5.279 3.437
Co 1.842 3.437 5.279
Co 7.918 7.918 7.918
Co 4.027 6.530 6.530
B 5.279 5.279 2.882
B 5.279 2.882 5.279
B 7.675 5.279 5.279
B 2.882 5.279 5.279
B 5.279 7.675 5.279
B 5.279 5.279 7.675
```



3.
The following is a computed X-ray diffraction stick pattern of Rb2SnI3Br. It was derived from DFT lattice parameters and positions (GGA-PBE), using CuKα.

Main lines, most intense first (2θ = 15–90°):
two_theta	I (rel.)
28.2	100
28.8	67
20.9	59
30.5	57
28.4	52
22.9	51
42.4	46
40.9	39
51.9	38
42.2	35

```
7
Lattice="-2.927 3.105 9.414 2.927 -3.105 9.414 2.927 3.105 -9.414" Properties=species:S:1:pos:R:3 pbc="T T T"
Rb 0.000 0.000 2.585
Rb 0.000 0.000 16.243
Sn 0.000 0.000 9.414
I 2.927 0.000 0.000
I 0.000 0.000 6.237
I 0.000 0.000 12.591
Br 0.000 3.105 0.000
```



4.
The following is a computed X-ray diffraction stick pattern of AcGdF. It was derived from DFT lattice parameters and positions (GGA-PBE), using CuKα.

Main lines, most intense first (2θ = 15–90°):
two_theta	I (rel.)
29.9	100
45.8	23
55.4	22
52.6	21
26.0	21
29.5	21
39.7	20
55.7	18
74.9	15
89.9	10

```
3
Lattice="3.963 0.000 0.000 -1.981 3.432 0.000 0.000 0.000 6.050" Properties=species:S:1:pos:R:3 pbc="T T T"
Ac 0.000 0.000 0.000
Gd 1.981 1.144 3.038
F 0.000 2.288 4.292
```